Nb5Ir4Rh2: calculated PXRD pattern (Cu Kα (weighted mean of Kα1 and Kα2)), based on a structure optimized by DFT (PBE).

Structural model:
a = 6.395 Å, b = 15.199 Å, c = 3.740 Å
α = 90.00°, β = 90.00°, γ = 90.00°
Fractional positions:
1 Nb 0.000 0.000 0.000
2 Nb 0.118 0.413 0.000
3 Nb 0.206 0.193 0.000
4 Nb 0.294 0.693 0.000
5 Nb 0.382 0.913 0.000
6 Nb 0.500 0.500 0.000
7 Nb 0.618 0.087 0.000
8 Nb 0.706 0.307 0.000
9 Nb 0.794 0.807 0.000
10 Nb 0.882 0.587 0.000
11 Ir 0.092 0.870 0.500
12 Ir 0.197 0.547 0.500
13 Ir 0.303 0.047 0.500
14 Ir 0.408 0.370 0.500
15 Ir 0.592 0.630 0.500
16 Ir 0.697 0.953 0.500
17 Ir 0.803 0.453 0.500
18 Ir 0.908 0.130 0.500
19 Rh 0.011 0.295 0.500
20 Rh 0.489 0.795 0.500
21 Rh 0.511 0.205 0.500
22 Rh 0.989 0.705 0.500

Peak list (10 most intense, 2θ from 10° to 90°, low angle first)
index, 2theta, I_rel
0 0 1, 23.79, 404
1 4 1, 36.52, 1000
2 1 1, 37.48, 510
1 6 0, 38.21, 518
2 2 1, 38.91, 844
1 5 1, 40.77, 803
2 3 1, 41.20, 531
3 2 0, 44.09, 691
0 0 2, 48.70, 535
3 2 2, 67.77, 382